Computed PXRD pattern
Compound: CsMnH4Cl3O2
Radiation: CuKα
Structure: the PBE+U geometry in Alexandria
Intensities are scaled so that the largest is 100.

Principal peaks in the range 2θ from 10° to 90°, sorted by position:
2θ/deg, I/Imax, (hkl)
15.22, 26, 0 0 2
18.10, 40, 1 0 2
21.66, 42, 1 1 2
22.87, 54, 2 1 0
27.60, 23, 2 1 2
30.00, 100, 1 2 2
30.91, 27, 2 2 0
33.32, 59, 3 0 2
44.15, 47, 2 2 4
46.72, 22, 4 2 0

Structure:
```
data_CsMnH4Cl3O2
_chemical_formula_sum 'Cs4 Mn4 H16 Cl12 O8'
_space_group_name_H-M_alt 'P c c a'
_space_group_IT_number 54
_space_group_name_Hall '-P 2a 2ac'
_cell_length_a 9.095
_cell_length_b 7.501
_cell_length_c 11.639
_cell_angle_alpha 90.00
_cell_angle_beta 90.00
_cell_angle_gamma 90.00
loop_
_atom_site_label
_atom_site_type_symbol
_atom_site_fract_x
_atom_site_fract_y
_atom_site_fract_z
_atom_site_occupancy
Cs1 Cs 0.250 0.000 0.151 1
Mn1 Mn 0.000 0.475 0.250 1
H1 H 0.023 0.307 0.948 1
H2 H 0.178 0.301 0.885 1
Cl1 Cl 0.089 0.232 0.392 1
Cl2 Cl 0.250 0.500 0.152 1
O1 O 0.071 0.312 0.871 1
```